[1]
For Nd2Si2O7, a GGA-PBE-relaxed structure gives the calculated powder diffraction line list in this record (Cu Kα, 1.54184 Å).
Peak positions follow from Bragg's law for the DFT cell and can differ from measured ones.

Crystal structure
a = 6.735 Å, b = 6.820 Å, c = 12.952 Å
α = 90.00°, β = 108.92°, γ = 90.00°
Fractional positions:
Nd 0.029 0.108 0.361
Nd 0.029 0.392 0.861
Nd 0.357 0.178 0.155
Nd 0.357 0.322 0.655
Nd 0.643 0.678 0.345
Nd 0.643 0.822 0.845
Nd 0.971 0.608 0.139
Nd 0.971 0.892 0.639
Si 0.206 0.579 0.392
Si 0.206 0.921 0.892
Si 0.396 0.672 0.086
Si 0.396 0.828 0.586
Si 0.604 0.172 0.414
Si 0.604 0.328 0.914
Si 0.794 0.079 0.108
Si 0.794 0.421 0.608
O 0.001 0.720 0.335
O 0.001 0.780 0.835
O 0.162 0.104 0.961
O 0.162 0.396 0.461
O 0.225 0.010 0.550
O 0.225 0.490 0.050
O 0.292 0.512 0.293
O 0.292 0.988 0.793
O 0.300 0.674 0.654
O 0.300 0.826 0.154
O 0.376 0.087 0.342
O 0.376 0.413 0.842
O 0.402 0.719 0.471
O 0.402 0.781 0.971
O 0.598 0.219 0.029
O 0.598 0.281 0.529
O 0.624 0.587 0.158
O 0.624 0.913 0.658
O 0.700 0.174 0.846
O 0.700 0.326 0.346
O 0.708 0.012 0.207
O 0.708 0.488 0.707
O 0.775 0.510 0.950
O 0.775 0.990 0.450
O 0.838 0.604 0.539
O 0.838 0.896 0.039
O 0.999 0.220 0.165
O 0.999 0.280 0.665

Most intense lines, 15 to 90 degrees two-theta, in order of rising 2θ:
| two_theta | I/Imax |
| --- | --- |
| 19.06 | 25 |
| 21.97 | 28 |
| 26.65 | 55 |
| 27.04 | 47 |
| 27.14 | 100 |
| 29.15 | 59 |
| 29.67 | 36 |
| 30.10 | 42 |
| 30.92 | 26 |
| 45.60 | 40 |


[2]
For NdSm2Y2Ho, a GGA-PBE-relaxed structure gives the calculated powder diffraction line list in this record (Cu Kα, 1.54184 Å).
Peak positions follow from Bragg's law for the DFT cell and can differ from measured ones.

Crystal structure
a = 6.622 Å, b = 17.833 Å, c = 3.424 Å
α = 90.00°, β = 90.00°, γ = 90.00°
Fractional positions:
Nd 0.000 0.000 0.000
Nd 0.500 0.500 0.500
Sm 0.224 0.352 0.500
Sm 0.276 0.852 0.000
Sm 0.724 0.148 0.000
Sm 0.776 0.648 0.500
Y 0.228 0.183 0.000
Y 0.272 0.683 0.500
Y 0.728 0.317 0.500
Y 0.772 0.817 0.000
Ho 0.000 0.500 0.000
Ho 0.500 0.000 0.500

Most intense lines, 15 to 90 degrees two-theta, in order of rising 2θ:
| two_theta | I/Imax |
| --- | --- |
| 16.68 | 19 |
| 28.76 | 63 |
| 30.09 | 100 |
| 31.07 | 37 |
| 33.05 | 22 |
| 33.72 | 51 |
| 35.74 | 33 |
| 40.84 | 33 |
| 53.50 | 20 |
| 64.42 | 21 |


[3]
For Rb3Ce3VS8, a GGA-PBE-relaxed structure gives the calculated powder diffraction line list in this record (Cu Kα, 1.54184 Å).
Peak positions follow from Bragg's law for the DFT cell and can differ from measured ones.

Crystal structure
a = 9.096 Å, b = 9.096 Å, c = 9.096 Å
α = 52.61°, β = 52.61°, γ = 52.61°
Fractional positions:
Rb 0.000 0.500 0.500
Rb 0.500 0.000 0.500
Rb 0.500 0.500 0.000
Ce 0.000 0.000 0.500
Ce 0.000 0.500 0.000
Ce 0.500 0.000 0.000
V 0.500 0.500 0.500
S 0.233 0.233 0.233
S 0.250 0.714 0.714
S 0.286 0.286 0.750
S 0.286 0.750 0.286
S 0.714 0.250 0.714
S 0.714 0.714 0.250
S 0.750 0.286 0.286
S 0.767 0.767 0.767

Most intense lines, 15 to 90 degrees two-theta, in order of rising 2θ:
| two_theta | I/Imax |
| --- | --- |
| 22.76 | 21 |
| 26.65 | 32 |
| 29.79 | 100 |
| 40.18 | 34 |
| 44.98 | 33 |
| 46.51 | 11 |
| 46.67 | 15 |
| 50.99 | 16 |
| 54.89 | 16 |
| 73.59 | 13 |


[4]
For Tb2Ga6Tc, a GGA-PBE-relaxed structure gives the calculated powder diffraction line list in this record (Cu Kα, 1.54184 Å).
Peak positions follow from Bragg's law for the DFT cell and can differ from measured ones.

Crystal structure
a = 5.827 Å, b = 5.827 Å, c = 5.760 Å
α = 90.00°, β = 90.00°, γ = 120.00°
Fractional positions:
Tb 0.333 0.667 0.339
Tb 0.667 0.333 0.661
Ga 0.175 0.350 0.821
Ga 0.175 0.825 0.821
Ga 0.350 0.175 0.179
Ga 0.650 0.825 0.821
Ga 0.825 0.175 0.179
Ga 0.825 0.650 0.179
Tc 0.000 0.000 0.500

Most intense lines, 15 to 90 degrees two-theta, in order of rising 2θ:
| two_theta | I/Imax |
| --- | --- |
| 30.69 | 21 |
| 34.50 | 45 |
| 35.58 | 14 |
| 35.90 | 55 |
| 38.97 | 100 |
| 47.94 | 15 |
| 50.89 | 13 |
| 58.00 | 20 |
| 63.91 | 24 |
| 69.47 | 15 |


[5]
For Li2CaHBrF, a GGA-PBE-relaxed structure gives the calculated powder diffraction line list in this record (Cu Kα, 1.54184 Å).
Peak positions follow from Bragg's law for the DFT cell and can differ from measured ones.

Crystal structure
a = 5.566 Å, b = 3.707 Å, c = 5.671 Å
α = 90.00°, β = 110.30°, γ = 90.00°
Fractional positions:
Li 0.000 0.000 0.000
Li 0.483 0.000 0.945
Ca 0.569 0.500 0.474
H 0.671 0.000 0.730
Br 0.148 0.500 0.701
F 0.359 0.000 0.227

Most intense lines, 15 to 90 degrees two-theta, in order of rising 2θ:
| two_theta | I/Imax |
| --- | --- |
| 16.67 | 85 |
| 16.99 | 54 |
| 19.25 | 49 |
| 24.00 | 51 |
| 29.37 | 100 |
| 32.03 | 44 |
| 32.55 | 45 |
| 37.05 | 51 |
| 40.85 | 37 |
| 42.35 | 42 |


[6]
For DyScBr, a GGA-PBE-relaxed structure gives the calculated powder diffraction line list in this record (Cu Kα, 1.54184 Å).
Peak positions follow from Bragg's law for the DFT cell and can differ from measured ones.

Crystal structure
a = 3.504 Å, b = 5.588 Å, c = 8.188 Å
α = 90.00°, β = 90.00°, γ = 90.00°
Fractional positions:
Dy 0.250 0.250 0.056
Dy 0.750 0.750 0.944
Sc 0.250 0.750 0.299
Sc 0.750 0.250 0.701
Br 0.250 0.250 0.425
Br 0.750 0.750 0.575

Most intense lines, 15 to 90 degrees two-theta, in order of rising 2θ:
| two_theta | I/Imax |
| --- | --- |
| 21.71 | 41 |
| 27.69 | 47 |
| 30.11 | 79 |
| 32.04 | 100 |
| 36.64 | 74 |
| 37.42 | 98 |
| 41.96 | 31 |
| 42.85 | 28 |
| 53.75 | 30 |
| 62.60 | 32 |


[7]
For Zr3PaCd, a GGA-PBE-relaxed structure gives the calculated powder diffraction line list in this record (Cu Kα, 1.54184 Å).
Peak positions follow from Bragg's law for the DFT cell and can differ from measured ones.

Crystal structure
a = 3.281 Å, b = 7.007 Å, c = 10.336 Å
α = 99.71°, β = 99.12°, γ = 90.07°
Fractional positions:
Zr 0.092 0.057 0.183
Zr 0.104 0.535 0.208
Zr 0.306 0.136 0.614
Zr 0.694 0.864 0.386
Zr 0.896 0.465 0.792
Zr 0.908 0.943 0.817
Pa 0.293 0.650 0.584
Pa 0.707 0.350 0.416
Cd 0.494 0.270 0.988
Cd 0.506 0.730 0.012

Most intense lines, 15 to 90 degrees two-theta, in order of rising 2θ:
| two_theta | I/Imax |
| --- | --- |
| 19.99 | 10 |
| 33.93 | 100 |
| 35.31 | 89 |
| 37.56 | 76 |
| 45.08 | 19 |
| 52.22 | 13 |
| 56.07 | 12 |
| 60.08 | 31 |
| 64.61 | 26 |
| 67.18 | 26 |